For Ce2TiCrN5, the GGA-PBE geometry in Alexandria gives the simulated powder diffraction line list in this record (Cu Ka).
Lines closer than 0.1° are merged.

Structure:
a = 6.7428 Å, b = 6.7428 Å, c = 10.0263 Å
α = 90.00°, β = 90.00°, γ = 151.86°
Sites, in units of the cell vectors:
Ce1 0.1135 0.8865 0.5000
Ce2 0.1432 0.8568 0.1181
Ce3 0.8568 0.1432 0.6181
Ce4 0.8865 0.1135 0.0000
Ti1 0.2097 0.7903 0.8234
Ti2 0.7903 0.2097 0.3234
Cr1 0.4675 0.5325 0.2738
Cr2 0.5325 0.4675 0.7738
N1 0.0468 0.9532 0.8549
N2 0.2855 0.7145 0.4688
N3 0.3203 0.6797 0.1940
N4 0.3624 0.6376 0.8136
N5 0.4935 0.5065 0.6006
N6 0.5065 0.4935 0.1006
N7 0.6376 0.3624 0.3136
N8 0.6797 0.3203 0.6940
N9 0.7145 0.2855 0.9688
N10 0.9532 0.0468 0.3549

The 10 most intense peaks (2θ from 5° to 70°), in order of rising 2θ:
2theta, d_spacing, I (rel.)
27.3, 3.270, 30
28.1, 3.180, 29
30.0, 2.976, 100
32.7, 2.739, 58
33.4, 2.685, 64
34.2, 2.620, 63
39.1, 2.304, 85
42.4, 2.130, 25
47.4, 1.917, 25
52.5, 1.744, 26